# 1
# CaDyOs4
Computed X-ray powder pattern, Cu Kα X-rays. Input: DFT lattice parameters and positions (GGA-PBE).
No peak broadening, texture or thermal motion is included.

Structural model:
a = 5.355 Å, b = 5.355 Å, c = 5.355 Å
α = 60.00°, β = 60.00°, γ = 60.00°
Atoms (fractional coordinates):
Ca  0.000  0.000  0.000
Dy  0.750  0.750  0.750
Os  0.375  0.375  0.375
Os  0.375  0.375  0.875
Os  0.375  0.875  0.375
Os  0.875  0.375  0.375

Most intense lines, 2θ = 10–80°, in order of rising 2θ:
d (Å)  I (rel.)
4.372  38
3.787  5
2.677  12
2.283  100
2.186  61
1.893  16
1.737  10
1.457  33
1.339  30
1.280  7

# 2
# Sr28In11
Computed X-ray powder pattern, Cu Kα X-rays. Input: DFT lattice parameters and positions (GGA-PBE).
No peak broadening, texture or thermal motion is included.

Structural model:
a = 33.876 Å, b = 33.876 Å, c = 33.876 Å
α = 170.11°, β = 17.19°, γ = 165.97°
Atoms (fractional coordinates):
Sr  0.025  0.025  0.000
Sr  0.032  0.178  0.853
Sr  0.046  0.590  0.456
Sr  0.053  0.436  0.617
Sr  0.055  0.379  0.676
Sr  0.133  0.590  0.544
Sr  0.163  0.080  0.083
Sr  0.197  0.460  0.738
Sr  0.268  0.992  0.276
Sr  0.325  0.178  0.147
Sr  0.348  0.141  0.206
Sr  0.363  0.000  0.363
Sr  0.378  0.560  0.818
Sr  0.392  0.422  0.970
Sr  0.452  0.422  0.030
Sr  0.458  0.554  0.904
Sr  0.576  0.136  0.441
Sr  0.637  0.000  0.637
Sr  0.650  0.554  0.096
Sr  0.695  0.136  0.559
Sr  0.702  0.379  0.324
Sr  0.709  0.209  0.500
Sr  0.717  0.992  0.724
Sr  0.722  0.460  0.262
Sr  0.743  0.560  0.182
Sr  0.820  0.436  0.383
Sr  0.935  0.141  0.794
Sr  0.997  0.080  0.917
In  0.105  0.785  0.320
In  0.214  0.805  0.409
In  0.301  0.801  0.500
In  0.395  0.805  0.591
In  0.465  0.785  0.680
In  0.529  0.756  0.773
In  0.635  0.774  0.861
In  0.777  0.820  0.957
In  0.863  0.820  0.043
In  0.914  0.774  0.139
In  0.983  0.756  0.227

Most intense lines, 2θ = 10–80°, in order of rising 2θ:
d (Å)  I (rel.)
4.905  22
3.378  51
3.338  35
3.266  23
3.045  18
2.952  100
2.919  56
2.567  25
2.511  20
1.692  19

# 3
# TbIn2BiO6
Computed X-ray powder pattern, Cu Kα X-rays. Input: DFT lattice parameters and positions (GGA-PBE).
No peak broadening, texture or thermal motion is included.

Structural model:
a = 5.997 Å, b = 5.997 Å, c = 5.997 Å
α = 57.81°, β = 57.81°, γ = 57.81°
Atoms (fractional coordinates):
Tb  0.000  0.000  0.000
In  0.282  0.282  0.282
In  0.783  0.783  0.783
Bi  0.501  0.501  0.501
O  0.084  0.668  0.409
O  0.149  0.585  0.927
O  0.409  0.084  0.668
O  0.585  0.927  0.149
O  0.668  0.409  0.084
O  0.927  0.149  0.585

Most intense lines, 2θ = 10–80°, in order of rising 2θ:
d (Å)  I (rel.)
4.166  26
2.995  100
2.899  98
2.083  42
1.888  29
1.749  14
1.692  42
1.674  27
1.449  13
1.305  16

# 4
# Zr2ScGaC
Computed X-ray powder pattern, Cu Kα X-rays. Input: DFT lattice parameters and positions (GGA-PBE).
No peak broadening, texture or thermal motion is included.

Structural model:
a = 4.530 Å, b = 4.530 Å, c = 4.443 Å
α = 90.00°, β = 90.00°, γ = 90.00°
Atoms (fractional coordinates):
Zr  0.000  0.500  0.000
Zr  0.500  0.000  0.000
Sc  0.000  0.000  0.500
Ga  0.500  0.500  0.500
C  0.000  0.000  0.000

Most intense lines, 2θ = 10–80°, in order of rising 2θ:
d (Å)  I (rel.)
4.443  8
2.598  100
2.265  38
2.221  18
2.018  3
1.601  12
1.586  24
1.363  25
1.344  12
1.299  12

# 5
# NaCaNd2Hg4
Computed X-ray powder pattern, Cu Kα X-rays. Input: DFT lattice parameters and positions (GGA-PBE).
No peak broadening, texture or thermal motion is included.

Structural model:
a = 9.258 Å, b = 9.258 Å, c = 9.258 Å
α = 33.50°, β = 33.50°, γ = 33.50°
Atoms (fractional coordinates):
Na  0.000  0.000  0.000
Ca  0.500  0.500  0.500
Nd  0.252  0.252  0.252
Nd  0.748  0.748  0.748
Hg  0.125  0.125  0.125
Hg  0.375  0.375  0.375
Hg  0.625  0.625  0.625
Hg  0.875  0.875  0.875

Most intense lines, 2θ = 10–80°, in order of rising 2θ:
d (Å)  I (rel.)
4.360  8
3.776  17
2.670  100
2.277  5
2.180  6
1.888  18
1.689  8
1.542  28
1.540  9
1.335  12

# 6
# La5PmEr2
Computed X-ray powder pattern, Cu Kα X-rays. Input: DFT lattice parameters and positions (GGA-PBE).
No peak broadening, texture or thermal motion is included.

Structural model:
a = 9.019 Å, b = 9.019 Å, c = 9.019 Å
α = 156.66°, β = 101.79°, γ = 82.96°
Atoms (fractional coordinates):
La  0.000  0.000  0.000
La  0.100  0.369  0.731
La  0.361  0.631  0.731
La  0.639  0.369  0.269
La  0.900  0.631  0.269
Pm  0.500  0.000  0.500
Er  0.259  0.259  0.000
Er  0.741  0.741  0.000

Most intense lines, 2θ = 10–80°, in order of rising 2θ:
d (Å)  I (rel.)
3.090  20
2.995  65
2.905  100
2.844  43
2.835  41
2.629  16
2.008  27
1.654  15
1.634  21
1.545  30

# 7
# Rb3Na5Tl2
Computed X-ray powder pattern, Cu Kα X-rays. Input: DFT lattice parameters and positions (GGA-PBE).
No peak broadening, texture or thermal motion is included.

Structural model:
a = 13.229 Å, b = 13.229 Å, c = 5.271 Å
α = 90.00°, β = 90.00°, γ = 90.00°
Atoms (fractional coordinates):
Rb  0.000  0.000  0.000
Rb  0.183  0.317  0.000
Rb  0.317  0.817  0.000
Rb  0.500  0.500  0.000
Rb  0.683  0.183  0.000
Rb  0.817  0.683  0.000
Na  0.000  0.500  0.500
Na  0.066  0.759  0.500
Na  0.241  0.066  0.500
Na  0.259  0.566  0.500
Na  0.434  0.259  0.500
Na  0.500  0.000  0.500
Na  0.566  0.741  0.500
Na  0.741  0.434  0.500
Na  0.759  0.934  0.500
Na  0.934  0.241  0.500
Tl  0.105  0.605  0.000
Tl  0.395  0.105  0.000
Tl  0.605  0.895  0.000
Tl  0.895  0.395  0.000

Most intense lines, 2θ = 10–80°, in order of rising 2θ:
d (Å)  I (rel.)
5.916  30
5.271  73
4.183  37
3.669  54
3.277  64
3.209  34
3.011  100
2.635  28
2.328  32
2.139  40

# 8
# Sm2Y4Te3N2
Computed X-ray powder pattern, Cu Kα X-rays. Input: DFT lattice parameters and positions (GGA-PBE).
No peak broadening, texture or thermal motion is included.

Structural model:
a = 13.317 Å, b = 13.317 Å, c = 13.317 Å
α = 160.08°, β = 160.08°, γ = 28.31°
Atoms (fractional coordinates):
Sm  0.196  0.196  0.000
Sm  0.804  0.804  0.000
Y  0.086  0.586  0.500
Y  0.414  0.914  0.500
Y  0.586  0.086  0.500
Y  0.914  0.414  0.500
Te  0.323  0.323  0.000
Te  0.500  0.500  0.000
Te  0.677  0.677  0.000
N  0.102  0.102  0.000
N  0.898  0.898  0.000

Most intense lines, 2θ = 10–80°, in order of rising 2θ:
d (Å)  I (rel.)
3.158  45
2.908  18
2.879  24
2.597  100
2.583  18
2.303  58
1.719  21
1.628  19
1.447  20
1.380  27

# 9
# InSn3Te4
Computed X-ray powder pattern, Cu Kα X-rays. Input: DFT lattice parameters and positions (GGA-PBE).
No peak broadening, texture or thermal motion is included.

Structural model:
a = 4.487 Å, b = 4.487 Å, c = 12.866 Å
α = 90.00°, β = 90.00°, γ = 90.00°
Atoms (fractional coordinates):
In  0.000  0.000  0.000
Sn  0.000  0.000  0.500
Sn  0.500  0.500  0.250
Sn  0.500  0.500  0.750
Te  0.000  0.000  0.251
Te  0.000  0.000  0.749
Te  0.500  0.500  0.000
Te  0.500  0.500  0.500

Most intense lines, 2θ = 10–80°, in order of rising 2θ:
d (Å)  I (rel.)
3.216  52
3.173  100
2.259  78
2.244  38
1.840  42
1.434  19
1.423  18
1.419  18
1.307  14
1.298  27

# 10
# Ba4CaZr5O15
Computed X-ray powder pattern, Cu Kα X-rays. Input: DFT lattice parameters and positions (GGA-PBE).
No peak broadening, texture or thermal motion is included.

Structural model:
a = 15.250 Å, b = 15.250 Å, c = 4.237 Å
α = 90.00°, β = 90.00°, γ = 157.31°
Atoms (fractional coordinates):
Ba  0.099  0.901  0.000
Ba  0.300  0.700  0.000
Ba  0.700  0.300  0.000
Ba  0.901  0.099  0.000
Ca  0.500  0.500  0.000
Zr  0.000  0.000  0.500
Zr  0.199  0.801  0.500
Zr  0.402  0.598  0.500
Zr  0.598  0.402  0.500
Zr  0.801  0.199  0.500
O  0.000  0.000  0.000
O  0.000  0.500  0.500
O  0.102  0.400  0.500
O  0.200  0.800  0.000
O  0.204  0.301  0.500
O  0.301  0.204  0.500
O  0.400  0.102  0.500
O  0.405  0.595  0.000
O  0.500  0.000  0.500
O  0.595  0.405  0.000
O  0.600  0.898  0.500
O  0.699  0.796  0.500
O  0.796  0.699  0.500
O  0.800  0.200  0.000
O  0.898  0.600  0.500

Most intense lines, 2θ = 10–80°, in order of rising 2θ:
d (Å)  I (rel.)
2.997  100
2.990  20
2.446  6
2.118  39
1.731  32
1.728  16
1.500  4
1.498  16
1.340  17
1.224  4

# 11
# BaTl2TeSe4
Computed X-ray powder pattern, Cu Kα X-rays. Input: DFT lattice parameters and positions (GGA-PBE).
No peak broadening, texture or thermal motion is included.

Structural model:
a = 9.080 Å, b = 9.080 Å, c = 9.080 Å
α = 122.11°, β = 118.72°, γ = 89.31°
Atoms (fractional coordinates):
Ba  0.000  0.000  0.000
Ba  0.500  0.000  0.500
Tl  0.000  0.500  0.500
Tl  0.500  0.000  0.000
Tl  0.500  0.500  0.000
Tl  0.500  0.500  0.500
Te  0.000  0.000  0.500
Te  0.000  0.500  0.000
Se  0.211  0.250  0.961
Se  0.211  0.750  0.461
Se  0.219  0.221  0.501
Se  0.219  0.718  0.999
Se  0.781  0.282  0.001
Se  0.781  0.779  0.499
Se  0.789  0.250  0.539
Se  0.789  0.750  0.039

Most intense lines, 2θ = 10–80°, in order of rising 2θ:
d (Å)  I (rel.)
3.762  22
3.634  18
3.230  49
3.187  100
2.314  19
2.268  71
2.197  19
1.881  18
1.817  19
1.429  16

# 12
# Bi3SbO7
Computed X-ray powder pattern, Cu Kα X-rays. Input: DFT lattice parameters and positions (GGA-PBE).
No peak broadening, texture or thermal motion is included.

Structural model:
a = 6.769 Å, b = 6.769 Å, c = 7.712 Å
α = 90.00°, β = 90.00°, γ = 108.93°
Atoms (fractional coordinates):
Bi  0.023  0.503  0.256
Bi  0.037  0.037  0.000
Bi  0.497  0.977  0.244
Bi  0.503  0.023  0.744
Bi  0.963  0.963  0.500
Bi  0.977  0.497  0.756
Sb  0.499  0.499  0.500
Sb  0.501  0.501  0.000
O  0.130  0.870  0.750
O  0.138  0.862  0.250
O  0.185  0.418  0.967
O  0.198  0.457  0.539
O  0.418  0.185  0.033
O  0.441  0.559  0.250
O  0.457  0.198  0.461
O  0.543  0.802  0.961
O  0.559  0.441  0.750
O  0.582  0.815  0.533
O  0.802  0.543  0.039
O  0.815  0.582  0.467
O  0.862  0.138  0.750
O  0.870  0.130  0.250

Most intense lines, 2θ = 10–80°, in order of rising 2θ:
d (Å)  I (rel.)
3.201  100
3.159  100
2.754  76
1.947  57
1.928  16
1.670  24
1.664  14
1.658  15
1.652  30
1.232  17